Structure and computed powder X-ray diffraction pattern of Tm2WO6 (a PBE+U-relaxed structure; Cu Kα X-rays).
Kinematic intensities with the Lorentz-polarization factor, no thermal factor.

Cell and atoms:
Unit cell a=5.2127 b=9.0630 c=9.8839 alpha=90.00 beta=90.00 gamma=90.00
Element x y z (fractional)
Tm  0.0140  0.1037  0.4657
Tm  0.0422  0.2188  0.8717
Tm  0.4578  0.7812  0.3717
Tm  0.4860  0.8963  0.9657
Tm  0.5140  0.3963  0.5343
Tm  0.5422  0.2812  0.1283
Tm  0.9578  0.7188  0.6283
Tm  0.9860  0.6037  0.0343
W  0.0366  0.4956  0.3474
W  0.4634  0.5044  0.8474
W  0.5366  0.0044  0.6526
W  0.9634  0.9956  0.1526
O  0.0948  0.8413  0.0320
O  0.1764  0.6377  0.8187
O  0.1760  0.9540  0.3030
O  0.1946  0.6430  0.2352
O  0.2368  0.1172  0.0690
O  0.2452  0.5886  0.4967
O  0.2548  0.4114  0.9967
O  0.2632  0.8828  0.5690
O  0.3054  0.3570  0.7352
O  0.3240  0.0460  0.8030
O  0.3236  0.3623  0.3187
O  0.4052  0.1587  0.5320
O  0.5948  0.6587  0.9680
O  0.6760  0.5460  0.6970
O  0.6764  0.8623  0.1813
O  0.6946  0.8570  0.7648
O  0.7368  0.3828  0.9310
O  0.7452  0.9114  0.5033
O  0.7548  0.0886  0.0033
O  0.7632  0.6172  0.4310
O  0.8054  0.1430  0.2648
O  0.8236  0.1377  0.6813
O  0.8240  0.4540  0.1970
O  0.9052  0.3413  0.4680

Top 10 peaks for 10° ≤ 2θ ≤ 90°, most intense first:
| h k l | d/Å | two_theta | intensity |
| --- | --- | --- | --- |
| 1 2 1 | 3.232 | 27.6 | 100.0 |
| 1 1 3 | 2.662 | 33.7 | 67.8 |
| 1 1 2 | 3.335 | 26.7 | 65.5 |
| 1 2 0 | 3.420 | 26.1 | 36.4 |
| 2 0 0 | 2.606 | 34.4 | 33.8 |
| 1 5 1 | 1.687 | 54.4 | 29.7 |
| 2 3 1 | 1.935 | 47.0 | 28.9 |
| 0 3 1 | 2.889 | 31.0 | 27.9 |
| 0 3 2 | 2.578 | 34.8 | 26.1 |
| 0 1 3 | 3.096 | 28.8 | 22.1 |